This entry pairs a crystal structure of HoGaNi5 with its theoretical XRD peak list. Radiation: a wavelength of 1.5418 Å. Structure: a cell relaxed with GGA-PBE.
Peak positions follow from Bragg's law for the DFT cell and can differ from measured ones.

a b c (Å): 7.8597 4.8090 9.9538
angles (deg): 90.00 90.00 90.00
Space group Pnma (No. 62)
One atom of each set of equivalent atoms:
Ho 0.2469 0.2500 0.0594 (multiplicity 4)
Ga 0.1425 0.7500 0.8583 (multiplicity 4)
Ni 0.0536 0.7500 0.0927 (multiplicity 4)
Ni 0.0655 0.0050 0.3060 (multiplicity 8)
Ni 0.0953 0.2500 0.5173 (multiplicity 4)
Ni 0.1865 0.2500 0.7511 (multiplicity 4)

Top 10 peaks for 10° ≤ 2θ ≤ 90°, in order of rising 2θ:
(hkl)	Position (°2θ)	d/Å	I_rel
0 1 3	32.8	2.731	14
0 2 0	37.4	2.404	18
1 0 4	37.9	2.372	28
3 1 1	40.2	2.242	100
0 2 2	41.7	2.165	15
2 2 0	44.2	2.051	14
2 2 1	45.1	2.009	14
4 0 1	47.1	1.928	38
1 2 3	48.1	1.890	19
3 3 1	69.4	1.355	18



This entry pairs a crystal structure of Dy8Al3Bi2 with its theoretical XRD peak list. Radiation: a wavelength of 1.5418 Å. Structure: a cell relaxed with GGA-PBE.
Peak positions follow from Bragg's law for the DFT cell and can differ from measured ones.

a b c (Å): 10.1232 15.2994 4.9726
angles (deg): 90.00 90.00 90.00
Space group Cmmm (No. 65)
One atom of each set of equivalent atoms:
Dy 0.0000 0.1089 0.0000 (multiplicity 4)
Dy 0.0000 0.3771 0.0000 (multiplicity 4)
Dy 0.2441 0.3830 0.5000 (multiplicity 8)
Al 0.0000 0.5000 0.5000 (multiplicity 2)
Al 0.2471 0.5000 0.0000 (multiplicity 4)
Bi 0.0000 0.2389 0.5000 (multiplicity 4)

Top 10 peaks for 10° ≤ 2θ ≤ 90°, in order of rising 2θ:
(hkl)	Position (°2θ)	d/Å	I_rel
0 2 1	21.3	4.169	11
0 4 0	23.3	3.825	13
2 0 1	25.1	3.547	24
2 2 1	27.7	3.218	13
2 4 1	34.5	2.601	100
4 0 0	35.5	2.531	25
0 0 2	36.1	2.486	24
4 0 2	51.5	1.774	17
6 4 1	63.1	1.474	18
2 4 3	63.9	1.456	20